Diffraction record for CaAl12Si4O27. The powder X-ray diffraction pattern is calculated, not measured: it uses the GGA-PBE geometry in the Materials Project and Cu Kα.

Structure:
Unit cell a=7.309 b=7.309 c=8.698 alpha=90.00 beta=90.00 gamma=120.00
Positions (direct):
1 Ca 0.000 0.000 0.000
2 Al 0.050 0.257 0.647
3 Al 0.086 0.453 0.135
4 Al 0.207 0.950 0.647
5 Al 0.257 0.207 0.353
6 Al 0.367 0.914 0.135
7 Al 0.453 0.367 0.865
8 Al 0.547 0.633 0.135
9 Al 0.633 0.086 0.865
10 Al 0.743 0.793 0.647
11 Al 0.793 0.050 0.353
12 Al 0.914 0.547 0.865
13 Al 0.950 0.743 0.353
14 Si 0.333 0.667 0.446
15 Si 0.333 0.667 0.859
16 Si 0.667 0.333 0.141
17 Si 0.667 0.333 0.554
18 O 0.000 0.000 0.500
19 O 0.045 0.225 0.241
20 O 0.104 0.492 0.762
21 O 0.155 0.698 0.999
22 O 0.166 0.745 0.492
23 O 0.180 0.955 0.241
24 O 0.225 0.180 0.759
25 O 0.255 0.421 0.492
26 O 0.302 0.457 0.999
27 O 0.333 0.667 0.249
28 O 0.388 0.896 0.762
29 O 0.421 0.166 0.508
30 O 0.457 0.155 0.001
31 O 0.492 0.388 0.238
32 O 0.508 0.612 0.762
33 O 0.543 0.845 0.999
34 O 0.579 0.834 0.492
35 O 0.612 0.104 0.238
36 O 0.667 0.333 0.751
37 O 0.698 0.543 0.001
38 O 0.745 0.579 0.508
39 O 0.775 0.820 0.241
40 O 0.820 0.045 0.759
41 O 0.834 0.255 0.508
42 O 0.845 0.302 0.001
43 O 0.896 0.508 0.238
44 O 0.955 0.775 0.759

Top 10 peaks for 2θ from 10° to 90°, in order of falling intensity:
43.16°, 2.096 Å, rel. 100; 31.99°, 2.798 Å, rel. 56; 67.86°, 1.381 Å, rel. 49; 66.45°, 1.407 Å, rel. 46; 49.39°, 1.845 Å, rel. 41; 30.05°, 2.974 Å, rel. 35; 34.01°, 2.636 Å, rel. 33; 35.07°, 2.559 Å, rel. 32; 57.25°, 1.609 Å, rel. 25; 61.78°, 1.502 Å, rel. 16

Diffraction record for Ca2Al3Si3O14. The powder X-ray diffraction pattern is calculated, not measured: it uses the GGA-PBE geometry in the Materials Project and Cu Kα.

Structure:
Unit cell a=10.390 b=10.390 c=8.670 alpha=97.51 beta=97.51 gamma=33.04
Positions (direct):
1 Ca 0.153 0.153 0.163
2 Ca 0.339 0.339 0.248
3 Ca 0.661 0.661 0.752
4 Ca 0.847 0.847 0.837
5 Al 0.000 0.500 0.500
6 Al 0.238 0.750 0.256
7 Al 0.250 0.762 0.744
8 Al 0.500 0.000 0.500
9 Al 0.750 0.238 0.256
10 Al 0.762 0.250 0.744
11 Si 0.098 0.098 0.534
12 Si 0.257 0.257 0.832
13 Si 0.414 0.414 0.942
14 Si 0.586 0.586 0.058
15 Si 0.743 0.743 0.168
16 Si 0.902 0.902 0.466
17 O 0.026 0.490 0.724
18 O 0.042 0.042 0.375
19 O 0.045 0.045 0.866
20 O 0.136 0.696 0.357
21 O 0.175 0.175 0.481
22 O 0.199 0.199 0.941
23 O 0.205 0.659 0.852
24 O 0.304 0.304 0.490
25 O 0.304 0.864 0.643
26 O 0.331 0.331 0.953
27 O 0.341 0.795 0.148
28 O 0.446 0.446 0.128
29 O 0.476 0.476 0.621
30 O 0.490 0.026 0.724
31 O 0.510 0.974 0.276
32 O 0.524 0.524 0.379
33 O 0.554 0.554 0.872
34 O 0.659 0.205 0.852
35 O 0.669 0.669 0.047
36 O 0.696 0.136 0.357
37 O 0.696 0.696 0.510
38 O 0.795 0.341 0.148
39 O 0.801 0.801 0.059
40 O 0.825 0.825 0.519
41 O 0.864 0.304 0.643
42 O 0.955 0.955 0.134
43 O 0.958 0.958 0.625
44 O 0.974 0.510 0.276

Top 10 peaks for 2θ from 10° to 90°, in order of falling intensity:
30.24°, 2.956 Å, rel. 100; 23.70°, 3.755 Å, rel. 36; 19.11°, 4.643 Å, rel. 31; 62.91°, 1.477 Å, rel. 31; 58.23°, 1.584 Å, rel. 27; 35.42°, 2.534 Å, rel. 26; 31.28°, 2.859 Å, rel. 25; 31.94°, 2.802 Å, rel. 24; 34.55°, 2.596 Å, rel. 22; 35.54°, 2.526 Å, rel. 21

Diffraction record for CaAl2Si2O8. The powder X-ray diffraction pattern is calculated, not measured: it uses the GGA-PBE geometry in the Materials Project and Cu Kα.

Structure:
Unit cell a=5.152 b=5.152 c=14.990 alpha=90.00 beta=90.00 gamma=120.00
Positions (direct):
1 Ca 0.000 0.000 0.000
2 Ca 0.000 0.000 0.500
3 Al 0.333 0.667 0.358
4 Al 0.333 0.667 0.858
5 Al 0.667 0.333 0.142
6 Al 0.667 0.333 0.642
7 Si 0.333 0.667 0.137
8 Si 0.333 0.667 0.637
9 Si 0.667 0.333 0.363
10 Si 0.667 0.333 0.863
11 O 0.013 0.390 0.098
12 O 0.013 0.623 0.598
13 O 0.333 0.667 0.243
14 O 0.333 0.667 0.743
15 O 0.377 0.390 0.598
16 O 0.377 0.987 0.098
17 O 0.390 0.013 0.402
18 O 0.390 0.377 0.902
19 O 0.610 0.623 0.098
20 O 0.610 0.987 0.598
21 O 0.623 0.013 0.902
22 O 0.623 0.610 0.402
23 O 0.667 0.333 0.257
24 O 0.667 0.333 0.757
25 O 0.987 0.377 0.402
26 O 0.987 0.610 0.902

Top 10 peaks for 2θ from 10° to 90°, in order of falling intensity:
23.20°, 3.834 Å, rel. 100; 31.17°, 2.870 Å, rel. 87; 34.83°, 2.576 Å, rel. 78; 23.74°, 3.747 Å, rel. 44; 19.90°, 4.462 Å, rel. 43; 62.44°, 1.487 Å, rel. 37; 39.35°, 2.290 Å, rel. 29; 61.16°, 1.515 Å, rel. 29; 42.27°, 2.138 Å, rel. 29; 50.92°, 1.793 Å, rel. 27

Diffraction record for Ca2Al4Si4O17. The powder X-ray diffraction pattern is calculated, not measured: it uses the GGA-PBE geometry in the Materials Project and Cu Kα.

Structure:
Unit cell a=11.525 b=11.525 c=8.584 alpha=99.26 beta=99.26 gamma=48.15
Positions (direct):
1 Ca 0.017 0.652 0.942
2 Ca 0.348 0.983 0.558
3 Ca 0.652 0.017 0.442
4 Ca 0.983 0.348 0.058
5 Al 0.015 0.392 0.711
6 Al 0.282 0.529 0.645
7 Al 0.392 0.015 0.211
8 Al 0.471 0.718 0.855
9 Al 0.529 0.282 0.145
10 Al 0.608 0.985 0.789
11 Al 0.718 0.471 0.355
12 Al 0.985 0.608 0.289
13 Si 0.207 0.309 0.450
14 Si 0.242 0.633 0.309
15 Si 0.309 0.207 0.950
16 Si 0.367 0.758 0.191
17 Si 0.633 0.242 0.809
18 Si 0.691 0.793 0.050
19 Si 0.758 0.367 0.691
20 Si 0.793 0.691 0.550
21 O 0.085 0.657 0.225
22 O 0.087 0.407 0.297
23 O 0.130 0.265 0.551
24 O 0.134 0.368 0.890
25 O 0.171 0.648 0.811
26 O 0.229 0.771 0.250
27 O 0.238 0.413 0.557
28 O 0.245 0.641 0.499
29 O 0.265 0.130 0.051
30 O 0.343 0.915 0.275
31 O 0.352 0.829 0.689
32 O 0.359 0.755 0.001
33 O 0.368 0.134 0.390
34 O 0.396 0.466 0.239
35 O 0.407 0.087 0.797
36 O 0.413 0.238 0.057
37 O 0.466 0.396 0.739
38 O 0.534 0.604 0.261
39 O 0.587 0.762 0.943
40 O 0.593 0.913 0.203
41 O 0.604 0.534 0.761
42 O 0.632 0.866 0.610
43 O 0.641 0.245 0.999
44 O 0.648 0.171 0.311
45 O 0.657 0.085 0.725
46 O 0.735 0.870 0.949
47 O 0.755 0.359 0.501
48 O 0.762 0.587 0.443
49 O 0.771 0.229 0.750
50 O 0.829 0.352 0.189
51 O 0.866 0.632 0.110
52 O 0.870 0.735 0.449
53 O 0.913 0.593 0.703
54 O 0.915 0.343 0.775

Top 10 peaks for 2θ from 10° to 90°, in order of falling intensity:
10.33°, 8.561 Å, rel. 100; 30.44°, 2.937 Å, rel. 68; 27.29°, 3.268 Å, rel. 63; 23.98°, 3.711 Å, rel. 53; 18.88°, 4.701 Å, rel. 53; 24.12°, 3.690 Å, rel. 42; 28.58°, 3.123 Å, rel. 38; 29.00°, 3.079 Å, rel. 33; 23.46°, 3.791 Å, rel. 31; 34.23°, 2.619 Å, rel. 31